Structure and computed X-ray diffraction stick pattern of Ac2TmCrO6 (the PBE+U geometry in Alexandria; copper Kα).
Neutral-atom scattering factors, no anomalous dispersion.

Main lines, in order of rising 2θ (2θ from 5° to 70°):
d (Å)	two_theta	I (rel.)	hkl
4.139	21.47	21	2 0 0
2.944	30.36	100	1 1 1
2.910	30.72	100	3 1 -1
2.070	43.74	51	2 2 -2
1.706	53.72	22	2 0 2
1.687	54.39	44	4 2 0
1.680	54.62	21	3 3 -1
1.455	63.98	16	0 4 0

Structure:
Lattice parameters (Å, degrees): 10.084 5.820 5.895 90.00 124.89 90.00
Space group C2/m (No. 12)
Asymmetric unit:
Ac 0.248 0.000 0.235
Tm 0.000 0.000 0.500
Cr 0.000 0.500 0.000
O 0.051 0.257 0.812
O 0.239 0.500 0.328